[1]
Simulated powder diffractogram
Compound: Li4Cu2O
Radiation: Cu Kα X-rays
Structure: DFT lattice parameters and positions (PBE)

Main lines, low angle first (10° ≤ 2θ ≤ 80°):
2θ 11.85, I 100, hkl 0 0 2
2θ 30.96, I 50, hkl 1 0 3
2θ 35.82, I 40, hkl 1 1 0
2θ 37.86, I 39, hkl 1 1 2
2θ 39.44, I 36, hkl 1 0 5
2θ 49.87, I 32, hkl 1 0 7

Structural model:
```
data_Li4Cu2O
_chemical_formula_sum 'Li8 Cu4 O2'
_symmetry_space_group_name_H-M 'I 4/m m m'
_symmetry_Int_Tables_number 139
_symmetry_space_group_name_Hall '-I 4 2'
_cell_length_a 3.545
_cell_length_b 3.545
_cell_length_c 14.942
_cell_angle_alpha 90.00
_cell_angle_beta 90.00
_cell_angle_gamma 90.00
loop_
_atom_site_label
_atom_site_type_symbol
_atom_site_fract_x
_atom_site_fract_y
_atom_site_fract_z
Li1 Li 0.000 0.000 0.129
Li2 Li 0.000 0.500 0.000
Cu1 Cu 0.000 0.000 0.288
O1 O 0.000 0.000 0.000
```

[2]
Simulated powder diffractogram
Compound: Li3Cu2O4
Radiation: Cu Kα X-rays
Structure: DFT lattice parameters and positions (PBE)

Main lines, low angle first (10° ≤ 2θ ≤ 80°):
2θ 18.75, I 42, hkl 0 2 0
2θ 25.59, I 100, hkl 1 1 -1
2θ 33.21, I 13, hkl 1 1 1
2θ 43.07, I 29, hkl 1 3 1
2θ 56.34, I 13, hkl 0 4 2
2θ 56.54, I 13, hkl 2 4 0

Structural model:
```
data_Li3Cu2O4
_chemical_formula_sum 'Li6 Cu4 O8'
_symmetry_space_group_name_H-M 'C 1 2 1'
_symmetry_Int_Tables_number 5
_symmetry_space_group_name_Hall 'C 2y'
_cell_length_a 4.669
_cell_length_b 9.465
_cell_length_c 4.698
_cell_angle_alpha 90.00
_cell_angle_beta 106.11
_cell_angle_gamma 90.00
loop_
_atom_site_label
_atom_site_type_symbol
_atom_site_fract_x
_atom_site_fract_y
_atom_site_fract_z
Li1 Li 0.000 0.000 0.000
Li2 Li 0.000 0.076 0.500
Li3 Li 0.000 0.498 0.500
Cu1 Cu 0.000 0.286 0.000
Cu2 Cu 0.000 0.780 0.500
O1 O 0.236 0.148 0.268
O2 O 0.239 0.918 0.736
```

[3]
Simulated powder diffractogram
Compound: Li7Cu6O12
Radiation: Cu Kα X-rays
Structure: DFT lattice parameters and positions (PBE)

Main lines, low angle first (10° ≤ 2θ ≤ 80°):
2θ 17.98, I 100, hkl 1 0 0
2θ 27.27, I 57, hkl 0 2 0
2θ 28.22, I 78, hkl 1 -2 0
2θ 43.35, I 21, hkl 2 0 -3
2θ 45.64, I 21, hkl 1 0 3
2θ 50.82, I 13, hkl 2 2 -3

Structural model:
```
data_Li7Cu6O12
_chemical_formula_sum 'Li7 Cu6 O12'
_symmetry_space_group_name_H-M 'P -1'
_symmetry_Int_Tables_number 2
_symmetry_space_group_name_Hall '-P 1'
_cell_length_a 5.275
_cell_length_b 7.078
_cell_length_c 8.095
_cell_angle_alpha 105.81
_cell_angle_beta 103.18
_cell_angle_gamma 101.50
loop_
_atom_site_label
_atom_site_type_symbol
_atom_site_fract_x
_atom_site_fract_y
_atom_site_fract_z
Li1 Li 0.000 0.000 0.000
Li2 Li 0.042 0.349 0.915
Li3 Li 0.049 0.940 0.661
Li4 Li 0.063 0.419 0.618
Cu1 Cu 0.475 0.769 0.857
Cu2 Cu 0.490 0.763 0.523
Cu3 Cu 0.495 0.730 0.185
O1 O 0.221 0.704 0.631
O2 O 0.238 0.642 0.961
O3 O 0.243 0.192 0.591
O4 O 0.250 0.637 0.294
O5 O 0.261 0.164 0.921
O6 O 0.282 0.108 0.244
```

[4]
Simulated powder diffractogram
Compound: Li5Cu3O6
Radiation: Cu Kα X-rays
Structure: DFT lattice parameters and positions (PBE)

Main lines, low angle first (10° ≤ 2θ ≤ 80°):
2θ 18.75, I 40, hkl 0 1 1
2θ 25.57, I 100, hkl 1 0 -1
2θ 32.98, I 13, hkl 1 0 2
2θ 42.89, I 31, hkl 1 -2 0
2θ 45.00, I 11, hkl 0 0 3
2θ 48.59, I 11, hkl 2 1 -1

Structural model:
```
data_Li5Cu3O6
_chemical_formula_sum 'Li5 Cu3 O6'
_symmetry_space_group_name_H-M 'P 1'
_symmetry_Int_Tables_number 1
_symmetry_space_group_name_Hall 'P 1'
_cell_length_a 4.775
_cell_length_b 5.274
_cell_length_c 6.591
_cell_angle_alpha 67.69
_cell_angle_beta 80.00
_cell_angle_gamma 82.97
loop_
_atom_site_label
_atom_site_type_symbol
_atom_site_fract_x
_atom_site_fract_y
_atom_site_fract_z
Li1 Li 0.000 0.000 0.000
Li2 Li 0.128 0.459 0.693
Li3 Li 0.454 0.073 0.083
Li4 Li 0.632 0.329 0.674
Li5 Li 0.789 0.759 0.386
Cu1 Cu 0.210 0.043 0.534
Cu2 Cu 0.563 0.724 0.861
Cu3 Cu 0.884 0.385 0.197
O1 O 0.081 0.037 0.273
O2 O 0.340 0.074 0.792
O3 O 0.440 0.702 0.609
O4 O 0.712 0.746 0.105
O5 O 0.772 0.365 0.937
O6 O 0.970 0.381 0.468
```

[5]
Simulated powder diffractogram
Compound: LiCu3O3
Radiation: Cu Kα X-rays
Structure: DFT lattice parameters and positions (PBE)

Main lines, low angle first (10° ≤ 2θ ≤ 80°):
2θ 37.53, I 100, hkl 1 1 8
2θ 39.10, I 41, hkl 0 0 16
2θ 45.73, I 73, hkl 2 0 0
2θ 61.70, I 35, hkl 2 0 16
2θ 66.66, I 21, hkl 2 2 0
2θ 79.10, I 22, hkl 3 1 8

Structural model:
```
data_LiCu3O3
_chemical_formula_sum 'Li8 Cu24 O24'
_symmetry_space_group_name_H-M 'I 4/m m m'
_symmetry_Int_Tables_number 139
_symmetry_space_group_name_Hall '-I 4 2'
_cell_length_a 3.968
_cell_length_b 3.968
_cell_length_c 36.853
_cell_angle_alpha 90.00
_cell_angle_beta 90.00
_cell_angle_gamma 90.00
loop_
_atom_site_label
_atom_site_type_symbol
_atom_site_fract_x
_atom_site_fract_y
_atom_site_fract_z
Li1 Li 0.000 0.000 0.060
Li2 Li 0.000 0.000 0.312
Cu1 Cu 0.000 0.000 0.176
Cu2 Cu 0.000 0.000 0.428
Cu3 Cu 0.000 0.500 0.000
Cu4 Cu 0.000 0.500 0.124
Cu5 Cu 0.000 0.500 0.250
O1 O 0.000 0.000 0.000
O2 O 0.000 0.000 0.254
O3 O 0.000 0.000 0.500
O4 O 0.000 0.500 0.074
O5 O 0.000 0.500 0.175
```

[6]
Simulated powder diffractogram
Compound: Li5Cu2O5
Radiation: Cu Kα X-rays
Structure: DFT lattice parameters and positions (PBE)

Main lines, low angle first (10° ≤ 2θ ≤ 80°):
2θ 19.32, I 86, hkl 2 0 0
2θ 21.89, I 48, hkl 0 0 2
2θ 24.85, I 100, hkl 2 0 -2
2θ 32.18, I 79, hkl 1 1 0
2θ 44.35, I 45, hkl 3 1 -2
2θ 46.44, I 29, hkl 3 1 1

Structural model:
```
data_Li5Cu2O5
_chemical_formula_sum 'Li10 Cu4 O10'
_symmetry_space_group_name_H-M 'C 1 2/m 1'
_symmetry_Int_Tables_number 12
_symmetry_space_group_name_Hall '-C 2y'
_cell_length_a 9.573
_cell_length_b 2.918
_cell_length_c 8.459
_cell_angle_alpha 90.00
_cell_angle_beta 106.23
_cell_angle_gamma 90.00
loop_
_atom_site_label
_atom_site_type_symbol
_atom_site_fract_x
_atom_site_fract_y
_atom_site_fract_z
Li1 Li 0.000 0.000 0.000
Li2 Li 0.152 0.000 0.551
Li3 Li 0.236 0.000 0.875
Cu1 Cu 0.041 0.500 0.283
O1 O 0.000 0.500 0.500
O2 O 0.111 0.500 0.912
O3 O 0.184 0.000 0.318
```

[7]
Simulated powder diffractogram
Compound: LiCu7O12
Radiation: Cu Kα X-rays
Structure: DFT lattice parameters and positions (PBE)

Main lines, low angle first (10° ≤ 2θ ≤ 80°):
2θ 17.25, I 15, hkl 1 1 0
2θ 30.12, I 11, hkl 2 1 1
2θ 34.92, I 100, hkl 2 2 0
2θ 50.21, I 25, hkl 4 0 0
2θ 62.61, I 49, hkl 4 2 2
2θ 73.74, I 12, hkl 4 4 0

Structural model:
```
data_LiCu7O12
_chemical_formula_sum 'Li2 Cu14 O24'
_symmetry_space_group_name_H-M 'I m -3'
_symmetry_Int_Tables_number 204
_symmetry_space_group_name_Hall '-I 2 2 3'
_cell_length_a 7.268
_cell_length_b 7.268
_cell_length_c 7.268
_cell_angle_alpha 90.00
_cell_angle_beta 90.00
_cell_angle_gamma 90.00
loop_
_atom_site_label
_atom_site_type_symbol
_atom_site_fract_x
_atom_site_fract_y
_atom_site_fract_z
Li1 Li 0.000 0.000 0.000
Cu1 Cu 0.000 0.000 0.500
Cu2 Cu 0.250 0.250 0.250
O1 O 0.000 0.173 0.312
```

[8]
Simulated powder diffractogram
Compound: Li2CuOsO6
Radiation: Cu Kα X-rays
Structure: DFT lattice parameters and positions (PBE)

Main lines, low angle first (10° ≤ 2θ ≤ 80°):
2θ 19.67, I 100, hkl 2 0 0
2θ 25.79, I 67, hkl 1 1 -1
2θ 32.48, I 48, hkl 1 1 1
2θ 32.82, I 29, hkl 3 1 -1
2θ 34.38, I 17, hkl 0 2 0
2θ 39.94, I 20, hkl 4 0 0

Structural model:
```
data_Li2CuOsO6
_chemical_formula_sum 'Li4 Cu2 Os2 O12'
_symmetry_space_group_name_H-M 'C 1 2/m 1'
_symmetry_Int_Tables_number 12
_symmetry_space_group_name_Hall '-C 2y'
_cell_length_a 10.072
_cell_length_b 5.219
_cell_length_c 4.609
_cell_angle_alpha 90.00
_cell_angle_beta 116.42
_cell_angle_gamma 90.00
loop_
_atom_site_label
_atom_site_type_symbol
_atom_site_fract_x
_atom_site_fract_y
_atom_site_fract_z
Li1 Li 0.250 0.000 0.150
Cu1 Cu 0.000 0.500 0.000
Os1 Os 0.000 0.000 0.500
O1 O 0.087 0.256 0.836
O2 O 0.169 0.000 0.456
```

[9]
Simulated powder diffractogram
Compound: Li3CuP2O7
Radiation: Cu Kα X-rays
Structure: DFT lattice parameters and positions (PBE)

Main lines, low angle first (10° ≤ 2θ ≤ 80°):
2θ 13.26, I 58, hkl 0 1 0
2θ 19.39, I 46, hkl 1 1 1
2θ 24.91, I 70, hkl 1 1 2
2θ 26.73, I 100, hkl 1 0 -2
2θ 27.74, I 58, hkl 0 1 -2
2θ 29.82, I 45, hkl -1 1 2

Structural model:
```
data_Li3CuP2O7
_chemical_formula_sum 'Li6 Cu2 P4 O14'
_symmetry_space_group_name_H-M 'P -1'
_symmetry_Int_Tables_number 2
_symmetry_space_group_name_Hall '-P 1'
_cell_length_a 5.214
_cell_length_b 7.506
_cell_length_c 9.235
_cell_angle_alpha 71.19
_cell_angle_beta 85.96
_cell_angle_gamma 69.82
loop_
_atom_site_label
_atom_site_type_symbol
_atom_site_fract_x
_atom_site_fract_y
_atom_site_fract_z
Li1 Li 0.017 0.124 0.056
Li2 Li 0.297 0.131 0.556
Li3 Li 0.380 0.140 0.214
Cu1 Cu 0.000 0.500 0.000
Cu2 Cu 0.000 0.500 0.500
P1 P 0.239 0.709 0.659
P2 P 0.477 0.257 0.843
O1 O 0.030 0.778 0.771
O2 O 0.096 0.707 0.518
O3 O 0.228 0.842 0.096
O4 O 0.285 0.274 0.980
O5 O 0.399 0.155 0.745
O6 O 0.430 0.834 0.612
O7 O 0.449 0.486 0.741
```

[10]
Simulated powder diffractogram
Compound: Li4CuP2O8
Radiation: Cu Kα X-rays
Structure: DFT lattice parameters and positions (PBE)

Main lines, low angle first (10° ≤ 2θ ≤ 80°):
2θ 13.98, I 52, hkl 1 0 0
2θ 21.62, I 73, hkl 1 0 -2
2θ 22.65, I 100, hkl 1 1 0
2θ 33.31, I 38, hkl 2 0 2
2θ 33.88, I 39, hkl 0 0 4
2θ 35.90, I 41, hkl 0 2 0

Structural model:
```
data_Li4CuP2O8
_chemical_formula_sum 'Li8 Cu2 P4 O16'
_symmetry_space_group_name_H-M 'P 1 c 1'
_symmetry_Int_Tables_number 7
_symmetry_space_group_name_Hall 'P -2yc'
_cell_length_a 6.337
_cell_length_b 5.002
_cell_length_c 10.586
_cell_angle_alpha 90.00
_cell_angle_beta 91.37
_cell_angle_gamma 90.00
loop_
_atom_site_label
_atom_site_type_symbol
_atom_site_fract_x
_atom_site_fract_y
_atom_site_fract_z
Li1 Li 0.000 0.038 0.000
Li2 Li 0.243 0.063 0.763
Li3 Li 0.248 0.440 0.087
Li4 Li 0.737 0.437 0.078
Cu1 Cu 0.714 0.074 0.764
P1 P 0.490 0.075 0.518
P2 P 0.988 0.454 0.330
O1 O 0.176 0.444 0.757
O2 O 0.295 0.046 0.084
O3 O 0.489 0.020 0.878
O4 O 0.490 0.378 0.529
O5 O 0.704 0.036 0.082
O6 O 0.778 0.457 0.759
O7 O 0.986 0.139 0.332
O8 O 0.989 0.440 0.969
```

[11]
Simulated powder diffractogram
Compound: Li2CuP2O7
Radiation: Cu Kα X-rays
Structure: DFT lattice parameters and positions (PBE)

Main lines, low angle first (10° ≤ 2θ ≤ 80°):
2θ 12.67, I 100, hkl 2 0 0
2θ 20.45, I 33, hkl 1 1 -1
2θ 23.31, I 22, hkl 1 1 1
2θ 26.12, I 27, hkl 3 1 0
2θ 27.20, I 95, hkl 1 1 -2
2θ 28.61, I 24, hkl 3 1 -2

Structural model:
```
data_Li2CuP2O7
_chemical_formula_sum 'Li8 Cu4 P8 O28'
_symmetry_space_group_name_H-M 'C 1 2/c 1'
_symmetry_Int_Tables_number 15
_symmetry_space_group_name_Hall '-C 2yc'
_cell_length_a 15.500
_cell_length_b 5.013
_cell_length_c 8.785
_cell_angle_alpha 90.00
_cell_angle_beta 115.64
_cell_angle_gamma 90.00
loop_
_atom_site_label
_atom_site_type_symbol
_atom_site_fract_x
_atom_site_fract_y
_atom_site_fract_z
Li1 Li 0.189 0.147 0.052
Cu1 Cu 0.000 0.000 0.000
P1 P 0.102 0.357 0.317
O1 O 0.000 0.483 0.750
O2 O 0.100 0.148 0.444
O3 O 0.104 0.222 0.160
O4 O 0.180 0.437 0.893
```